This entry pairs a crystal structure of Sn5Os3Au with its simulated XRD peak list. Radiation: Cu Kα (weighted mean of Kα1 and Kα2). Structure: a crystal structure in OQMD, relaxed with GGA-PBE.

Main lines, most intense first (5° ≤ 2θ ≤ 70°):
two_theta  d [Å]  intensity
44.81  2.022  100
11.31  7.824  45
32.83  2.728  39
39.86  2.262  37
34.83  2.576  30
29.65  3.013  28
38.09  2.363  27
39.46  2.283  26
68.83  1.364  23
34.39  2.608  23

Structural model:
```
data_Sn5Os3Au
_chemical_formula_sum 'Sn5 Os3 Au1'
_cell_length_a 5.4562
_cell_length_b 5.4562
_cell_length_c 7.8244
_cell_angle_alpha 90.00
_cell_angle_beta 90.00
_cell_angle_gamma 120.00
_symmetry_space_group_name_H-M 'P 6/m m m'
_symmetry_Int_Tables_number 191
_symmetry_space_group_name_Hall '-P 6 2'
loop_
_atom_site_label
_atom_site_type_symbol
_atom_site_fract_x
_atom_site_fract_y
_atom_site_fract_z
Sn1 Sn 0.0000 0.0000 0.0000
Sn2 Sn 0.3333 0.6667 0.3010
Os1 Os 0.0000 0.5000 0.0000
Au1 Au 0.0000 0.0000 0.5000
```

This entry pairs a crystal structure of P5Au4 with its simulated XRD peak list. Radiation: Cu Kα (weighted mean of Kα1 and Kα2). Structure: a crystal structure in OQMD, relaxed with GGA-PBE.

Main lines, most intense first (5° ≤ 2θ ≤ 70°):
two_theta  d [Å]  intensity
28.68  3.112  100
23.76  3.745  69
48.62  1.873  64
34.59  2.593  40
31.36  2.852  40
50.81  1.797  32
43.01  2.103  30
18.93  4.689  26
65.44  1.426  18
56.83  1.620  14

Structural model:
```
data_P5Au4
_chemical_formula_sum 'P5 Au4'
_cell_length_a 7.1879
_cell_length_b 7.1879
_cell_length_c 4.6888
_cell_angle_alpha 90.00
_cell_angle_beta 90.00
_cell_angle_gamma 120.00
_symmetry_space_group_name_H-M 'P 6/m m m'
_symmetry_Int_Tables_number 191
_symmetry_space_group_name_Hall '-P 6 2'
loop_
_atom_site_label
_atom_site_type_symbol
_atom_site_fract_x
_atom_site_fract_y
_atom_site_fract_z
P1 P 0.0000 0.0000 0.0000
P2 P 0.3333 0.6667 0.2708
Au1 Au 0.0000 0.0000 0.5000
Au2 Au 0.0000 0.5000 0.0000
```

This entry pairs a crystal structure of P2Au5 with its simulated XRD peak list. Radiation: Cu Kα (weighted mean of Kα1 and Kα2). Structure: a crystal structure in OQMD, relaxed with GGA-PBE.

Main lines, most intense first (5° ≤ 2θ ≤ 70°):
two_theta  d [Å]  intensity
38.41  2.344  100
32.84  2.727  67
34.92  2.569  61
17.92  4.950  59
35.69  2.516  50
29.83  2.996  49
43.85  2.065  40
36.30  2.475  36
45.36  1.999  27
46.05  1.971  23

Structural model:
```
data_P2Au5
_chemical_formula_sum 'P16 Au40'
_cell_length_a 9.2440
_cell_length_b 18.4344
_cell_length_c 6.1817
_cell_angle_alpha 90.00
_cell_angle_beta 90.00
_cell_angle_gamma 90.00
_symmetry_space_group_name_H-M 'F d d 2'
_symmetry_Int_Tables_number 43
_symmetry_space_group_name_Hall 'F 2 -2d'
loop_
_atom_site_label
_atom_site_type_symbol
_atom_site_fract_x
_atom_site_fract_y
_atom_site_fract_z
P1 P 0.0745 0.4524 0.0000
Au1 Au 0.0000 0.0000 0.0850
Au2 Au 0.0353 0.2950 0.9947
Au3 Au 0.0936 0.1438 0.1016
```

This entry pairs a crystal structure of P5Au with its simulated XRD peak list. Radiation: Cu Kα (weighted mean of Kα1 and Kα2). Structure: a crystal structure in OQMD, relaxed with GGA-PBE.

Main lines, most intense first (5° ≤ 2θ ≤ 70°):
two_theta  d [Å]  intensity
26.97  3.306  100
30.94  2.891  97
14.93  5.935  89
36.15  2.485  64
25.02  3.559  53
21.33  4.165  51
51.35  1.779  51
19.96  4.448  46
32.73  2.736  42
21.04  4.223  41

Structural model:
```
data_P5Au
_chemical_formula_sum 'P20 Au4'
_cell_length_a 6.6148
_cell_length_b 6.0096
_cell_length_c 11.8695
_cell_angle_alpha 90.00
_cell_angle_beta 90.00
_cell_angle_gamma 90.00
_symmetry_space_group_name_H-M 'P m c 21'
_symmetry_Int_Tables_number 26
loop_
_symmetry_equiv_pos_as_xyz
'x,y,z'
'-x,-y,z+1/2'
'-x,y,z'
'x,-y,z+1/2'
loop_
_atom_site_label
_atom_site_type_symbol
_atom_site_fract_x
_atom_site_fract_y
_atom_site_fract_z
P1 P 0.0000 0.0987 0.0000
P2 P 0.0000 0.2522 0.8337
P3 P 0.0000 0.3588 0.1255
P4 P 0.2523 0.4913 0.8748
P5 P 0.2558 0.2565 0.2362
P6 P 0.5000 0.2547 0.8198
P7 P 0.5000 0.2568 0.6360
P8 P 0.5000 0.3836 0.1212
Au1 Au 0.0000 0.2791 0.5515
Au2 Au 0.5000 0.0149 0.9848
```

This entry pairs a crystal structure of P11Au3 with its simulated XRD peak list. Radiation: Cu Kα (weighted mean of Kα1 and Kα2). Structure: a crystal structure in OQMD, relaxed with GGA-PBE.

Main lines, most intense first (5° ≤ 2θ ≤ 70°):
two_theta  d [Å]  intensity
28.28  3.156  100
24.07  3.698  71
15.54  5.702  67
26.27  3.392  44
49.24  1.850  41
23.48  3.789  37
48.44  1.879  33
31.43  2.846  25
31.09  2.877  25
32.00  2.797  24

Structural model:
```
data_P11Au3
_chemical_formula_sum 'P22 Au6'
_cell_length_a 12.9844
_cell_length_b 7.5785
_cell_length_c 6.5078
_cell_angle_alpha 90.00
_cell_angle_beta 118.79
_cell_angle_gamma 90.00
_symmetry_space_group_name_H-M 'C 1 m 1'
_symmetry_Int_Tables_number 8
loop_
_symmetry_equiv_pos_as_xyz
'x,y,z'
'x,-y,z'
'x+1/2,y+1/2,z'
'x+1/2,-y+1/2,z'
loop_
_atom_site_label
_atom_site_type_symbol
_atom_site_fract_x
_atom_site_fract_y
_atom_site_fract_z
P1 P 0.0000 0.0000 0.0000
P2 P 0.0226 0.2282 0.2299
P3 P 0.1806 0.5000 0.0004
P4 P 0.2125 0.2467 0.4905
P5 P 0.2694 0.2656 0.2155
P6 P 0.2746 0.0000 0.7003
P7 P 0.4517 0.3496 0.4648
Au1 Au 0.1734 0.0000 0.9342
Au2 Au 0.2824 0.5000 0.7547
Au3 Au 0.4839 0.0000 0.9635
```

This entry pairs a crystal structure of PAu with its simulated XRD peak list. Radiation: Cu Kα (weighted mean of Kα1 and Kα2). Structure: a crystal structure in OQMD, relaxed with GGA-PBE.

Main lines, most intense first (5° ≤ 2θ ≤ 70°):
two_theta  d [Å]  intensity
29.94  2.984  100
36.93  2.434  79
32.97  2.717  70
21.11  4.208  66
25.03  3.557  59
52.30  1.749  46
53.27  1.720  40
42.99  2.104  21
66.49  1.406  19
50.39  1.811  19

Structural model:
```
data_PAu
_chemical_formula_sum 'P4 Au4'
_cell_length_a 3.2873
_cell_length_b 8.4159
_cell_length_c 7.1145
_cell_angle_alpha 90.00
_cell_angle_beta 90.00
_cell_angle_gamma 90.00
_symmetry_space_group_name_H-M 'I m m a'
_symmetry_Int_Tables_number 74
_symmetry_space_group_name_Hall '-I 2b 2'
loop_
_atom_site_label
_atom_site_type_symbol
_atom_site_fract_x
_atom_site_fract_y
_atom_site_fract_z
P1 P 0.0000 0.2500 0.1460
Au1 Au 0.0000 0.0000 0.0000
```

This entry pairs a crystal structure of Rb5P2Au with its simulated XRD peak list. Radiation: Cu Kα (weighted mean of Kα1 and Kα2). Structure: a crystal structure in OQMD, relaxed with GGA-PBE.

Main lines, most intense first (5° ≤ 2θ ≤ 70°):
two_theta  d [Å]  intensity
29.97  2.982  100
25.20  3.534  55
9.12  9.694  34
22.03  4.034  27
32.69  2.739  27
56.63  1.625  26
53.21  1.721  19
39.54  2.279  17
50.40  1.811  17
36.82  2.441  16

Structural model:
```
data_Rb5P2Au
_chemical_formula_sum 'Rb10 P4 Au2'
_cell_length_a 5.9634
_cell_length_b 5.9634
_cell_length_c 19.3872
_cell_angle_alpha 90.00
_cell_angle_beta 90.00
_cell_angle_gamma 120.00
_symmetry_space_group_name_H-M 'P 63/m m c'
_symmetry_Int_Tables_number 194
_symmetry_space_group_name_Hall '-P 6c 2c'
loop_
_atom_site_label
_atom_site_type_symbol
_atom_site_fract_x
_atom_site_fract_y
_atom_site_fract_z
Rb1 Rb 0.0000 0.0000 0.1452
Rb2 Rb 0.3333 0.6667 0.0484
Rb3 Rb 0.3333 0.6667 0.2500
P1 P 0.3333 0.6667 0.6250
Au1 Au 0.3333 0.6667 0.7500
```

This entry pairs a crystal structure of Rb3TlP2Au2 with its simulated XRD peak list. Radiation: Cu Kα (weighted mean of Kα1 and Kα2). Structure: a crystal structure in OQMD, relaxed with GGA-PBE.

Main lines, most intense first (5° ≤ 2θ ≤ 70°):
two_theta  d [Å]  intensity
14.31  6.189  100
32.40  2.764  98
30.89  2.895  75
26.98  3.304  60
35.93  2.499  53
29.43  3.035  52
28.65  3.116  51
31.74  2.819  36
30.64  2.918  33
55.59  1.653  33

Structural model:
```
data_Rb3TlP2Au2
_chemical_formula_sum 'Rb3 Tl1 P2 Au2'
_cell_length_a 6.2137
_cell_length_b 6.6179
_cell_length_c 6.4315
_cell_angle_alpha 90.00
_cell_angle_beta 105.77
_cell_angle_gamma 90.00
_symmetry_space_group_name_H-M 'P 1 m 1'
_symmetry_Int_Tables_number 6
loop_
_symmetry_equiv_pos_as_xyz
'x,y,z'
'x,-y,z'
loop_
_atom_site_label
_atom_site_type_symbol
_atom_site_fract_x
_atom_site_fract_y
_atom_site_fract_z
Rb1 Rb 0.0000 0.0000 0.0000
Rb2 Rb 0.2990 0.5000 0.2954
Rb3 Rb 0.6736 0.0000 0.3640
Tl1 Tl 0.9652 0.5000 0.6684
P1 P 0.2350 0.0000 0.5858
P2 P 0.7232 0.5000 0.0131
Au1 Au 0.4672 0.2504 0.8093
```